[1]
Theoretical X-ray diffraction stick pattern of PaPd2Se3 for Cu Kα (weighted mean of Kα1 and Kα2), from a cell relaxed with GGA-PBE.
Kinematic intensities with the Lorentz-polarization factor, no thermal factor.

Structure:
```
data_PaPd2Se3
_chemical_formula_sum 'Pa2 Pd4 Se6'
_space_group_name_H-M_alt 'P 1 21/m 1'
_space_group_IT_number 11
_space_group_name_Hall '-P 2yb'
_cell_length_a 6.634
_cell_length_b 4.204
_cell_length_c 10.319
_cell_angle_alpha 90.00
_cell_angle_beta 92.61
_cell_angle_gamma 90.00
loop_
_atom_site_label
_atom_site_type_symbol
_atom_site_fract_x
_atom_site_fract_y
_atom_site_fract_z
Pa1 Pa 0.209 0.250 0.323
Pd1 Pd 0.033 0.750 0.090
Pd2 Pd 0.421 0.250 0.573
Se1 Se 0.130 0.750 0.849
Se2 Se 0.189 0.750 0.528
Se3 Se 0.401 0.750 0.196
```

Top 10 peaks for 2θ from 10° to 90°, by angle:
index  d [Å]  Rel. int.
1 0 -1  5.694  100.0
1 1 -1  3.382  52.9
1 1 2  2.891  29.1
2 1 -1  2.545  31.6
1 1 -3  2.500  64.6
1 1 3  2.439  39.2
2 1 -2  2.357  28.1
0 2 0  2.102  40.3
3 0 -2  2.063  26.6
3 1 1  1.907  24.1

[2]
Theoretical X-ray diffraction stick pattern of Pr6Cd3Ni for Cu Kα (weighted mean of Kα1 and Kα2), from a cell relaxed with GGA-PBE.
Kinematic intensities with the Lorentz-polarization factor, no thermal factor.

Structure:
```
data_Pr6Cd3Ni
_chemical_formula_sum 'Pr36 Cd18 Ni6'
_space_group_name_H-M_alt 'R -3 m'
_space_group_IT_number 166
_space_group_name_Hall '-R 3 2"'
_cell_length_a 11.0298
_cell_length_b 11.0298
_cell_length_c 17.0890
_cell_angle_alpha 90.00
_cell_angle_beta 90.00
_cell_angle_gamma 120.00
loop_
_atom_site_label
_atom_site_type_symbol
_atom_site_fract_x
_atom_site_fract_y
_atom_site_fract_z
Pr1 Pr 0.0987 0.5494 0.2600
Pr2 Pr 0.1110 0.2220 0.8984
Cd1 Cd 0.0892 0.5446 0.9171
Ni1 Ni 0.0000 0.0000 0.0000
Ni2 Ni 0.0000 0.0000 0.5000
```

Top 10 peaks for 2θ from 10° to 90°, by angle:
index  d [Å]  Rel. int.
3 0 0  3.184  21.6
0 0 6  2.848  17.9
3 0 3  2.779  100.0
2 2 0  2.757  4.4
0 3 6  2.123  16.5
3 3 0  1.838  21.7
3 0 9  1.631  12.2
3 3 6  1.545  15.4
0 6 3  1.533  15.0
6 3 3  1.177  11.0

[3]
Theoretical X-ray diffraction stick pattern of LaAuS2 for Cu Kα (weighted mean of Kα1 and Kα2), from a cell relaxed with GGA-PBE.
Kinematic intensities with the Lorentz-polarization factor, no thermal factor.

Structure:
```
data_LaAuS2
_chemical_formula_sum 'La4 Au4 S8'
_space_group_name_H-M_alt 'C m c m'
_space_group_IT_number 63
_space_group_name_Hall '-C 2c 2'
_cell_length_a 4.411
_cell_length_b 22.929
_cell_length_c 3.970
_cell_angle_alpha 90.00
_cell_angle_beta 90.00
_cell_angle_gamma 90.00
loop_
_atom_site_label
_atom_site_type_symbol
_atom_site_fract_x
_atom_site_fract_y
_atom_site_fract_z
La1 La 0.000 0.172 0.250
Au1 Au 0.000 0.452 0.250
S1 S 0.000 0.080 0.750
S2 S 0.000 0.300 0.250
```

Top 10 peaks for 2θ from 10° to 90°, by angle:
index  d [Å]  Rel. int.
1 3 0  3.821  82.9
0 4 1  3.263  100.0
1 1 1  2.927  60.0
0 8 0  2.866  32.3
0 6 1  2.753  37.0
2 0 0  2.206  28.9
1 7 1  2.192  77.5
0 0 2  1.985  24.9
1 11 0  1.885  22.3
2 4 1  1.827  39.0

[4]
Theoretical X-ray diffraction stick pattern of Sc4HgGeN for Cu Kα (weighted mean of Kα1 and Kα2), from a cell relaxed with GGA-PBE.
Kinematic intensities with the Lorentz-polarization factor, no thermal factor.

Structure:
```
data_Sc4HgGeN
_chemical_formula_sum 'Sc16 Hg4 Ge4 N4'
_space_group_name_H-M_alt 'C m c m'
_space_group_IT_number 63
_space_group_name_Hall '-C 2c 2'
_cell_length_a 6.127
_cell_length_b 14.397
_cell_length_c 6.117
_cell_angle_alpha 90.00
_cell_angle_beta 90.00
_cell_angle_gamma 90.00
loop_
_atom_site_label
_atom_site_type_symbol
_atom_site_fract_x
_atom_site_fract_y
_atom_site_fract_z
Sc1 Sc 0.000 0.084 0.250
Sc2 Sc 0.000 0.412 0.250
Sc3 Sc 0.250 0.250 0.000
Hg1 Hg 0.000 0.390 0.750
Ge1 Ge 0.000 0.113 0.750
N1 N 0.000 0.249 0.250
```

Top 10 peaks for 2θ from 10° to 90°, by angle:
index  d [Å]  Rel. int.
1 1 1  4.146  38.5
1 3 1  3.214  43.3
2 0 0  3.061  60.5
2 2 0  2.817  32.8
0 6 0  2.399  35.3
2 4 0  2.332  100.0
2 0 2  2.165  59.2
1 7 1  1.856  30.4
2 6 2  1.607  30.1
4 4 2  1.280  28.7